[1]
Diffraction record for Dy4CdRh. The PXRD pattern is calculated, not measured: it uses a cell relaxed with PBE and Cu Kα X-rays.
Neutral-atom scattering factors, no anomalous dispersion.

Largest 6 diffraction maxima, sorted by position, 10 to 90 degrees two-theta:
28.6 deg, rel. 26
32.2 deg, rel. 51
34.2 deg, rel. 100
37.4 deg, rel. 30
57.4 deg, rel. 47
68.6 deg, rel. 15

Atomic structure:
Cell lengths 9.6250, 9.6250, 9.6250 Å; angles 60.00, 60.00, 60.00 degrees
Atoms (fractional coordinates):
Dy 0.0605 0.0605 0.4395
Dy 0.0605 0.4395 0.0605
Dy 0.0605 0.4395 0.4395
Dy 0.1862 0.1862 0.8138
Dy 0.1862 0.8138 0.1862
Dy 0.1862 0.8138 0.8138
Dy 0.2014 0.5995 0.5995
Dy 0.4395 0.0605 0.0605
Dy 0.4395 0.0605 0.4395
Dy 0.4395 0.4395 0.0605
Dy 0.5995 0.2014 0.5995
Dy 0.5995 0.5995 0.2014
Dy 0.5995 0.5995 0.5995
Dy 0.8138 0.1862 0.1862
Dy 0.8138 0.1862 0.8138
Dy 0.8138 0.8138 0.1862
Cd 0.5078 0.8307 0.8307
Cd 0.8307 0.5078 0.8307
Cd 0.8307 0.8307 0.5078
Cd 0.8307 0.8307 0.8307
Rh 0.3925 0.3925 0.3925
Rh 0.3925 0.3925 0.8226
Rh 0.3925 0.8226 0.3925
Rh 0.8226 0.3925 0.3925

=====

[2]
Diffraction record for Na3NpO10. The PXRD pattern is calculated, not measured: it uses a cell relaxed with PBE and Cu Kα X-rays.
Neutral-atom scattering factors, no anomalous dispersion.

Largest 6 diffraction maxima, sorted by position, 10 to 90 degrees two-theta:
12.4 deg, rel. 100
16.1 deg, rel. 72
17.5 deg, rel. 40
18.1 deg, rel. 68
22.1 deg, rel. 50
25.2 deg, rel. 36

Atomic structure:
Cell lengths 5.2406, 5.7407, 7.8240 Å; angles 102.98, 108.54, 95.09 degrees
Atoms (fractional coordinates):
Na 0.0000 0.0000 0.0000
Na 0.1192 0.7002 0.3677
Na 0.8808 0.2998 0.6323
Np 0.5000 0.5000 0.0000
O 0.2106 0.6739 0.9463
O 0.2494 0.2114 0.8527
O 0.2640 0.2076 0.4355
O 0.4033 0.2272 0.3208
O 0.4112 0.4545 0.2815
O 0.5888 0.5455 0.7185
O 0.5967 0.7728 0.6792
O 0.7360 0.7924 0.5645
O 0.7506 0.7886 0.1473
O 0.7894 0.3261 0.0537

=====

[3]
Diffraction record for MnNb3S6. The PXRD pattern is calculated, not measured: it uses a cell relaxed with PBE and Cu Kα X-rays.
Neutral-atom scattering factors, no anomalous dispersion.

Largest 6 diffraction maxima, sorted by position, 10 to 90 degrees two-theta:
14.3 deg, rel. 72
30.6 deg, rel. 38
33.9 deg, rel. 54
42.5 deg, rel. 100
54.4 deg, rel. 47
84.9 deg, rel. 23

Atomic structure:
Cell lengths 5.8384, 5.8384, 12.4151 Å; angles 90.00, 90.00, 120.00 degrees
Atoms (fractional coordinates):
Mn 0.3333 0.6667 0.2500
Mn 0.6667 0.3333 0.7500
Nb 0.0000 0.0000 0.0000
Nb 0.0000 0.0000 0.5000
Nb 0.3333 0.6667 0.5012
Nb 0.3333 0.6667 0.9988
Nb 0.6667 0.3333 0.0012
Nb 0.6667 0.3333 0.4988
S 0.0015 0.3325 0.6264
S 0.0015 0.6690 0.8736
S 0.3310 0.3325 0.8736
S 0.3310 0.9985 0.6264
S 0.3325 0.0015 0.3736
S 0.3325 0.3310 0.1264
S 0.6675 0.6690 0.6264
S 0.6675 0.9985 0.8736
S 0.6690 0.0015 0.1264
S 0.6690 0.6675 0.3736
S 0.9985 0.3310 0.3736
S 0.9985 0.6675 0.1264

=====

[4]
Diffraction record for MgTl2Pb16Br18O8. The PXRD pattern is calculated, not measured: it uses a cell relaxed with PBE and Cu Kα X-rays.
Neutral-atom scattering factors, no anomalous dispersion.

Largest 6 diffraction maxima, sorted by position, 10 to 90 degrees two-theta:
18.8 deg, rel. 41
26.0 deg, rel. 100
29.7 deg, rel. 92
31.7 deg, rel. 84
36.0 deg, rel. 39
37.1 deg, rel. 37

Atomic structure:
Cell lengths 12.6148, 12.6148, 8.6289 Å; angles 90.00, 90.00, 90.00 degrees
Atoms (fractional coordinates):
Mg 0.0000 0.0000 0.0000
Tl 0.0000 0.5000 0.1374
Tl 0.5000 0.0000 0.8626
Pb 0.0463 0.2228 0.1178
Pb 0.0919 0.2034 0.6804
Pb 0.2034 0.9081 0.3196
Pb 0.2228 0.9537 0.8822
Pb 0.2735 0.5811 0.6727
Pb 0.3632 0.5557 0.1408
Pb 0.4189 0.2735 0.3273
Pb 0.4443 0.3632 0.8592
Pb 0.5557 0.6368 0.8592
Pb 0.5811 0.7265 0.3273
Pb 0.6368 0.4443 0.1408
Pb 0.7265 0.4189 0.6727
Pb 0.7772 0.0463 0.8822
Pb 0.7966 0.0919 0.3196
Pb 0.9081 0.7966 0.6804
Pb 0.9537 0.7772 0.1178
Br 0.0000 0.0000 0.5000
Br 0.1094 0.6978 0.3918
Br 0.1201 0.6967 0.8642
Br 0.1836 0.3820 0.8777
Br 0.2119 0.3807 0.3755
Br 0.3022 0.1094 0.6082
Br 0.3033 0.1201 0.1358
Br 0.3807 0.7881 0.6245
Br 0.3820 0.8164 0.1223
Br 0.5000 0.5000 0.5000
Br 0.6180 0.1836 0.1223
Br 0.6193 0.2119 0.6245
Br 0.6967 0.8799 0.1358
Br 0.6978 0.8906 0.6082
Br 0.7881 0.6193 0.3755
Br 0.8164 0.6180 0.8777
Br 0.8799 0.3033 0.8642
Br 0.8906 0.3022 0.3918
O 0.0933 0.1014 0.8946
O 0.1014 0.9067 0.1054
O 0.3925 0.5467 0.8727
O 0.4533 0.3925 0.1273
O 0.5467 0.6075 0.1273
O 0.6075 0.4533 0.8727
O 0.8986 0.0933 0.1054
O 0.9067 0.8986 0.8946

=====

[5]
Diffraction record for LiCu6OF11. The PXRD pattern is calculated, not measured: it uses a cell relaxed with PBE and Cu Kα X-rays.
Neutral-atom scattering factors, no anomalous dispersion.

Largest 6 diffraction maxima, sorted by position, 10 to 90 degrees two-theta:
26.8 deg, rel. 82
27.2 deg, rel. 100
29.7 deg, rel. 60
32.0 deg, rel. 31
32.3 deg, rel. 40
52.7 deg, rel. 36

Atomic structure:
Cell lengths 4.6926, 5.4043, 9.0291 Å; angles 89.79, 88.95, 89.67 degrees
Atoms (fractional coordinates):
Li 0.0000 0.0000 0.0000
Cu 0.2700 0.5052 0.7731
Cu 0.3185 0.8185 0.4925
Cu 0.3497 0.1806 0.1669
Cu 0.7503 0.9792 0.7505
Cu 0.7766 0.6451 0.1426
Cu 0.7860 0.3229 0.4561
O 0.4669 0.7707 0.6881
F 0.0384 0.2150 0.8423
F 0.0644 0.5324 0.5331
F 0.0983 0.8623 0.1901
F 0.4902 0.4510 0.0456
F 0.4978 0.1059 0.3801
F 0.5452 0.2735 0.6937
F 0.5838 0.6021 0.3726
F 0.6099 0.9525 0.0584
F 0.9729 0.7259 0.8590
F 0.9868 0.0413 0.5323
F 0.9867 0.3500 0.2060